Computed powder X-ray diffraction pattern
Compound: ZrCd2IrAu
Radiation: λ = 1.5418 Å (Cu Kα)
Structure: a GGA-PBE-relaxed structure

Structure:
```
ZrCd2IrAu
1.0
5.0202 0.0000 0.0000
0.0000 5.0202 0.0000
0.0000 0.0000 5.0942
Zr Cd Ir Au
1 2 1 1
Direct
0.0000 0.0000 0.0000 Zr
0.0000 0.5000 0.5000 Cd
0.5000 0.0000 0.5000 Cd
0.5000 0.5000 0.5000 Ir
0.5000 0.5000 0.0000 Au
```

Top 10 peaks for 2θ = 10–90°, by intensity:
d (Å)	intensity
2.510	100
5.020	93
1.788	72
2.912	66
2.547	52
1.456	36
1.775	35
3.550	30
2.271	26
2.245	25

=====

Computed powder X-ray diffraction pattern
Compound: KCd12Au6
Radiation: λ = 1.5418 Å (Cu Kα)
Structure: a GGA-PBE-relaxed structure

Structure:
```
KCd12Au6
1.0
6.3447 3.6631 3.2350
-6.3447 3.6631 3.2350
0.0000 -7.3263 3.2350
K Cd Au
1 12 6
Direct
0.0000 0.0000 0.0000 K
0.1150 0.5000 0.8850 Cd
0.1150 0.8850 0.5000 Cd
0.1454 0.4031 0.4031 Cd
0.4031 0.1454 0.4031 Cd
0.4031 0.4031 0.1454 Cd
0.5000 0.1150 0.8850 Cd
0.5000 0.8850 0.1150 Cd
0.5969 0.5969 0.8546 Cd
0.5969 0.8546 0.5969 Cd
0.8546 0.5969 0.5969 Cd
0.8850 0.1150 0.5000 Cd
0.8850 0.5000 0.1150 Cd
0.2733 0.2733 0.7002 Au
0.2733 0.7002 0.2733 Au
0.2998 0.7267 0.7267 Au
0.7002 0.2733 0.2733 Au
0.7267 0.2998 0.7267 Au
0.7267 0.7267 0.2998 Au
```

Top 10 peaks for 2θ = 10–90°, by intensity:
d (Å)	intensity
2.440	100
2.425	72
2.220	63
2.002	52
6.345	47
7.274	44
2.908	42
2.391	42
3.637	37
2.882	31

=====

Computed powder X-ray diffraction pattern
Compound: K2CdAu2
Radiation: λ = 1.5418 Å (Cu Kα)
Structure: a GGA-PBE-relaxed structure

Structure:
```
K2CdAu2
1.0
5.0046 0.0000 0.0000
0.0000 5.6753 0.0000
0.0000 0.0000 10.4934
K Cd Au
4 2 4
Direct
0.0000 0.0000 0.1995 K
0.0000 0.0000 0.8005 K
0.5000 0.5000 0.3005 K
0.5000 0.5000 0.6995 K
0.0000 0.5000 0.0000 Cd
0.5000 0.0000 0.5000 Cd
0.0000 0.2552 0.5000 Au
0.0000 0.7448 0.5000 Au
0.5000 0.2448 0.0000 Au
0.5000 0.7552 0.0000 Au
```

Top 10 peaks for 2θ = 10–90°, by intensity:
d (Å)	intensity
5.247	100
2.403	85
2.500	49
4.517	46
2.017	35
2.867	29
1.599	29
2.623	27
2.259	25
3.053	22

=====

Computed powder X-ray diffraction pattern
Compound: K2Cd15Au2
Radiation: λ = 1.5418 Å (Cu Kα)
Structure: a GGA-PBE-relaxed structure

Structure:
```
K2Cd15Au2
1.0
5.1554 2.9765 5.0257
-5.1554 2.9765 5.0257
0.0000 -5.9529 5.0257
K Cd Au
2 15 2
Direct
0.1633 0.1633 0.1633 K
0.8367 0.8367 0.8367 K
0.0000 0.5000 0.5000 Cd
0.1484 0.1484 0.6491 Cd
0.1484 0.6491 0.1484 Cd
0.2099 0.5000 0.7901 Cd
0.2099 0.7901 0.5000 Cd
0.3509 0.8516 0.8516 Cd
0.5000 0.0000 0.5000 Cd
0.5000 0.2099 0.7901 Cd
0.5000 0.5000 0.0000 Cd
0.5000 0.7901 0.2099 Cd
0.6491 0.1484 0.1484 Cd
0.7901 0.2099 0.5000 Cd
0.7901 0.5000 0.2099 Cd
0.8516 0.3509 0.8516 Cd
0.8516 0.8516 0.3509 Cd
0.3961 0.3961 0.3961 Au
0.6039 0.6039 0.6039 Au
```

Top 10 peaks for 2θ = 10–90°, by intensity:
d (Å)	intensity
2.294	100
7.683	66
2.578	59
2.561	50
2.259	35
2.513	35
2.499	34
2.880	33
1.460	27
2.976	26

=====

Computed powder X-ray diffraction pattern
Compound: K2Cd9Au3
Radiation: λ = 1.5418 Å (Cu Kα)
Structure: a GGA-PBE-relaxed structure

Structure:
```
K2Cd9Au3
1.0
7.4400 -4.2690 0.0000
7.4400 4.2690 0.0000
-5.0579 0.0000 10.7843
K Cd Au
4 18 6
Direct
0.0848 0.2508 0.2481 K
0.2508 0.0848 0.7481 K
0.7492 0.9152 0.2519 K
0.9152 0.7492 0.7519 K
0.0273 0.8508 0.0682 Cd
0.1492 0.9727 0.4318 Cd
0.1931 0.3560 0.5641 Cd
0.2146 0.5814 0.2537 Cd
0.3177 0.4827 0.9468 Cd
0.3560 0.1931 0.0641 Cd
0.3736 0.6264 0.7500 Cd
0.4186 0.7854 0.2463 Cd
0.4827 0.3177 0.4468 Cd
0.5173 0.6823 0.5532 Cd
0.5814 0.2146 0.7537 Cd
0.6264 0.3736 0.2500 Cd
0.6440 0.8069 0.9359 Cd
0.6823 0.5173 0.0532 Cd
0.7854 0.4186 0.7463 Cd
0.8069 0.6440 0.4359 Cd
0.8508 0.0273 0.5682 Cd
0.9727 0.1492 0.9318 Cd
0.0000 0.5000 0.0000 Au
0.1508 0.6756 0.4999 Au
0.3244 0.8492 0.0001 Au
0.5000 0.0000 0.5000 Au
0.6756 0.1508 0.9999 Au
0.8492 0.3244 0.5001 Au
```

Top 10 peaks for 2θ = 10–90°, by intensity:
d (Å)	intensity
2.469	100
5.392	87
2.247	75
2.480	51
2.241	49
4.282	46
2.277	46
2.766	41
2.696	40
2.750	40

=====

Computed powder X-ray diffraction pattern
Compound: K2Cd12Au5
Radiation: λ = 1.5418 Å (Cu Kα)
Structure: a GGA-PBE-relaxed structure

Structure:
```
K2Cd12Au5
1.0
5.1672 2.9833 4.8266
-5.1672 2.9833 4.8266
0.0000 -5.9666 4.8266
K Cd Au
2 12 5
Direct
0.1530 0.1530 0.1530 K
0.8470 0.8470 0.8470 K
0.1555 0.1555 0.6271 Cd
0.1555 0.6271 0.1555 Cd
0.2090 0.5000 0.7910 Cd
0.2090 0.7910 0.5000 Cd
0.3729 0.8445 0.8445 Cd
0.5000 0.2090 0.7910 Cd
0.5000 0.7910 0.2090 Cd
0.6271 0.1555 0.1555 Cd
0.7910 0.2090 0.5000 Cd
0.7910 0.5000 0.2090 Cd
0.8445 0.3729 0.8445 Cd
0.8445 0.8445 0.3729 Cd
0.0000 0.5000 0.5000 Au
0.3960 0.3960 0.3960 Au
0.5000 0.0000 0.5000 Au
0.5000 0.5000 0.0000 Au
0.6040 0.6040 0.6040 Au
```

Top 10 peaks for 2θ = 10–90°, by intensity:
d (Å)	intensity
2.278	100
7.613	84
2.584	62
2.538	45
2.431	39
2.187	29
2.413	20
1.492	19
2.447	19
4.827	17

=====

Computed powder X-ray diffraction pattern
Compound: KCd2Au2
Radiation: λ = 1.5418 Å (Cu Kα)
Structure: a GGA-PBE-relaxed structure

Structure:
```
KCd2Au2
1.0
5.0822 0.0000 0.0000
0.0000 5.0822 0.0000
0.0000 0.0000 10.5368
K Cd Au
2 4 4
Direct
0.0000 0.0000 0.0000 K
0.5000 0.5000 0.5000 K
0.0000 0.0000 0.3648 Cd
0.0000 0.0000 0.6352 Cd
0.5000 0.5000 0.1352 Cd
0.5000 0.5000 0.8648 Cd
0.0000 0.5000 0.2500 Au
0.0000 0.5000 0.7500 Au
0.5000 0.0000 0.2500 Au
0.5000 0.0000 0.7500 Au
```

Top 10 peaks for 2θ = 10–90°, by intensity:
d (Å)	intensity
2.969	100
2.541	88
5.268	86
2.125	79
2.289	44
1.372	39
1.797	31
2.889	30
1.537	28
1.578	25

=====

Computed powder X-ray diffraction pattern
Compound: K2Cd3Au4
Radiation: λ = 1.5418 Å (Cu Kα)
Structure: a GGA-PBE-relaxed structure

Structure:
```
K2Cd3Au4
1.0
0.0000 5.0257 17.3677
3.1592 0.0000 17.3677
3.1592 5.0257 0.0000
K Cd Au
4 6 8
Direct
0.0360 0.0360 0.2140 K
0.2140 0.2140 0.0360 K
0.7860 0.7860 0.9640 K
0.9640 0.9640 0.7860 K
0.1395 0.1395 0.6105 Cd
0.3750 0.3750 0.3750 Cd
0.3895 0.3895 0.8605 Cd
0.6105 0.6105 0.1395 Cd
0.6250 0.6250 0.6250 Cd
0.8605 0.8605 0.3895 Cd
0.1962 0.6813 0.2258 Au
0.2258 0.3967 0.1962 Au
0.3187 0.8038 0.6033 Au
0.3967 0.2258 0.6813 Au
0.6033 0.7742 0.3187 Au
0.6813 0.1962 0.3967 Au
0.7742 0.6033 0.8038 Au
0.8038 0.3187 0.7742 Au
```

Top 10 peaks for 2θ = 10–90°, by intensity:
d (Å)	intensity
4.856	100
2.721	69
2.349	51
8.684	49
2.173	46
4.828	46
4.342	43
2.949	40
2.542	39
2.390	38

=====

Computed powder X-ray diffraction pattern
Compound: K12Cd6Au
Radiation: λ = 1.5418 Å (Cu Kα)
Structure: a GGA-PBE-relaxed structure

Structure:
```
K12Cd6Au
1.0
7.3204 4.2264 4.5817
-7.3204 4.2264 4.5817
0.0000 -8.4529 4.5817
K Cd Au
12 6 1
Direct
0.1400 0.4368 0.1603 K
0.1603 0.1400 0.4368 K
0.1947 0.6952 0.5554 K
0.3048 0.4446 0.8053 K
0.4368 0.1603 0.1400 K
0.4446 0.8053 0.3048 K
0.5554 0.1947 0.6952 K
0.5632 0.8397 0.8600 K
0.6952 0.5554 0.1947 K
0.8053 0.3048 0.4446 K
0.8397 0.8600 0.5632 K
0.8600 0.5632 0.8397 K
0.0354 0.7948 0.2009 Cd
0.2009 0.0354 0.7948 Cd
0.2052 0.7991 0.9646 Cd
0.7948 0.2009 0.0354 Cd
0.7991 0.9646 0.2052 Cd
0.9646 0.2052 0.7991 Cd
0.5000 0.5000 0.5000 Au
```

Top 10 peaks for 2θ = 10–90°, by intensity:
d (Å)	intensity
6.042	100
3.317	75
4.525	70
2.382	60
2.767	59
3.407	54
5.757	48
3.131	48
2.878	46
2.860	40

=====

Computed powder X-ray diffraction pattern
Compound: K2Cd4Au5
Radiation: λ = 1.5418 Å (Cu Kα)
Structure: a GGA-PBE-relaxed structure

Structure:
```
K2Cd4Au5
1.0
0.0000 5.1769 8.8219
3.0929 0.0000 8.8219
3.0929 5.1769 0.0000
K Cd Au
2 4 5
Direct
0.1315 0.1315 0.8685 K
0.8685 0.8685 0.1315 K
0.2107 0.5314 0.4686 Cd
0.4686 0.7893 0.2107 Cd
0.5314 0.2107 0.7893 Cd
0.7893 0.4686 0.5314 Cd
0.0000 0.0000 0.5000 Au
0.2500 0.2500 0.2500 Au
0.5000 0.5000 0.0000 Au
0.5000 0.5000 0.5000 Au
0.7500 0.7500 0.7500 Au
```

Top 10 peaks for 2θ = 10–90°, by intensity:
d (Å)	intensity
2.275	100
5.177	73
2.532	65
5.085	55
2.232	51
2.655	44
2.682	44
2.205	39
1.696	34
1.244	24

=====

Computed powder X-ray diffraction pattern
Compound: K8Cd2Au
Radiation: λ = 1.5418 Å (Cu Kα)
Structure: a GGA-PBE-relaxed structure

Structure:
```
K8Cd2Au
1.0
11.0421 -3.0399 0.0000
11.0421 3.0399 0.0000
-2.5936 0.0000 7.9653
K Cd Au
8 2 1
Direct
0.0224 0.0224 0.2950 K
0.2127 0.2127 0.8025 K
0.3462 0.3462 0.5386 K
0.4080 0.4080 0.0767 K
0.5920 0.5920 0.9233 K
0.6538 0.6538 0.4614 K
0.7873 0.7873 0.1975 K
0.9776 0.9776 0.7050 K
0.1781 0.1781 0.2084 Cd
0.8219 0.8219 0.7916 Cd
0.5000 0.5000 0.5000 Au
```

Top 10 peaks for 2θ = 10–90°, by intensity:
d (Å)	intensity
3.166	100
4.916	96
3.018	89
3.040	80
5.570	79
4.590	70
5.182	63
2.795	61
2.293	46
2.911	45

=====

Computed powder X-ray diffraction pattern
Compound: K3Cd6Au2
Radiation: λ = 1.5418 Å (Cu Kα)
Structure: a GGA-PBE-relaxed structure

Structure:
```
K3Cd6Au2
1.0
-2.2445 2.2445 17.0826
2.2445 -2.2445 17.0826
2.2445 2.2445 -17.0826
K Cd Au
3 6 2
Direct
0.0000 0.0000 0.0000 K
0.1731 0.1731 0.0000 K
0.8269 0.8269 0.0000 K
0.0864 0.5864 0.5000 Cd
0.2733 0.2733 0.0000 Cd
0.4136 0.9136 0.5000 Cd
0.5864 0.0864 0.5000 Cd
0.7267 0.7267 0.0000 Cd
0.9136 0.4136 0.5000 Cd
0.3585 0.3585 0.0000 Au
0.6415 0.6415 0.0000 Au
```

Top 10 peaks for 2θ = 10–90°, by intensity:
d (Å)	intensity
2.552	100
8.541	97
4.176	77
2.773	73
2.244	66
3.121	62
2.325	41
1.686	37
1.587	22
1.977	21